1.
Theoretical X-ray diffraction stick pattern of Hf5Zr5Ga6 for Cu Kα (λ = 1.5418 Å), from a structure optimized by DFT (PBE).
No peak broadening, texture or thermal motion is included.

Structure:
```
data_Hf5Zr5Ga6
_chemical_formula_sum 'Hf10 Zr10 Ga12'
_space_group_name_H-M_alt 'A m m 2'
_space_group_IT_number 38
_cell_length_a 5.7328
_cell_length_b 13.9411
_cell_length_c 8.0882
_cell_angle_alpha 90.00
_cell_angle_beta 90.00
_cell_angle_gamma 90.00
loop_
_space_group_symop_operation_xyz
'x,y,z'
'-x,-y,z'
'-x,y,z'
'x,-y,z'
'x,y+1/2,z+1/2'
'-x,-y+1/2,z+1/2'
'-x,y+1/2,z+1/2'
'x,-y+1/2,z+1/2'
loop_
_atom_site_label
_atom_site_type_symbol
_atom_site_fract_x
_atom_site_fract_y
_atom_site_fract_z
Hf1 Hf 0.0000 0.0000 0.0000
Hf2 Hf 0.2499 0.1667 0.2539
Zr1 Zr 0.0000 0.1211 0.6325
Zr2 Zr 0.5000 0.0000 0.5087
Zr3 Zr 0.5000 0.1210 0.8759
Ga1 Ga 0.0000 0.0000 0.3606
Ga2 Ga 0.0000 0.1955 0.9505
Ga3 Ga 0.5000 0.0000 0.1467
Ga4 Ga 0.5000 0.1961 0.5577
```

Peak list (12 most intense, 5° ≤ 2θ ≤ 70°, in order of rising 2θ)
| hkl | 2θ/deg | Rel. int. |
| --- | --- | --- |
| 0 1 1 | 12.66 | 27 |
| 0 3 1 | 22.04 | 17 |
| 0 2 2 | 25.48 | 16 |
| 0 1 3 | 33.82 | 43 |
| 0 4 2 | 33.98 | 29 |
| 1 1 3 | 37.46 | 45 |
| 1 5 1 | 37.55 | 25 |
| 2 0 2 | 38.53 | 100 |
| 0 3 3 | 38.61 | 34 |
| 0 6 0 | 38.75 | 19 |
| 2 6 2 | 55.77 | 21 |
| 3 5 1 | 59.73 | 21 |

***

2.
Theoretical X-ray diffraction stick pattern of GaHg3 for Cu Kα (λ = 1.5418 Å), from a structure optimized by DFT (PBE).
No peak broadening, texture or thermal motion is included.

Structure:
```
data_GaHg3
_chemical_formula_sum 'Ga2 Hg6'
_space_group_name_H-M_alt 'P 63/m m c'
_space_group_IT_number 194
_space_group_name_Hall '-P 6c 2c'
_cell_length_a 6.6446
_cell_length_b 6.6446
_cell_length_c 5.2996
_cell_angle_alpha 90.00
_cell_angle_beta 90.00
_cell_angle_gamma 120.00
loop_
_atom_site_label
_atom_site_type_symbol
_atom_site_fract_x
_atom_site_fract_y
_atom_site_fract_z
Ga1 Ga 0.3333 0.6667 0.2500
Hg1 Hg 0.1691 0.3382 0.7500
```

Peak list (12 most intense, 5° ≤ 2θ ≤ 70°, in order of rising 2θ)
| hkl | 2θ/deg | Rel. int. |
| --- | --- | --- |
| 1 0 1 | 22.81 | 12 |
| 1 1 0 | 26.83 | 5 |
| 2 0 0 | 31.08 | 24 |
| 0 0 2 | 33.83 | 25 |
| 2 0 1 | 35.50 | 100 |
| 2 1 1 | 45.06 | 3 |
| 2 0 2 | 46.60 | 16 |
| 2 2 0 | 55.30 | 19 |
| 2 0 3 | 61.61 | 21 |
| 4 0 0 | 64.81 | 3 |
| 2 2 2 | 66.42 | 22 |
| 4 0 1 | 67.46 | 16 |

***

3.
Theoretical X-ray diffraction stick pattern of Ga3Hg for Cu Kα (λ = 1.5418 Å), from a structure optimized by DFT (PBE).
No peak broadening, texture or thermal motion is included.

Structure:
```
data_Ga3Hg
_chemical_formula_sum 'Ga6 Hg2'
_space_group_name_H-M_alt 'I 4/m m m'
_space_group_IT_number 139
_space_group_name_Hall '-I 4 2'
_cell_length_a 4.2427
_cell_length_b 4.2427
_cell_length_c 9.2881
_cell_angle_alpha 90.00
_cell_angle_beta 90.00
_cell_angle_gamma 90.00
loop_
_atom_site_label
_atom_site_type_symbol
_atom_site_fract_x
_atom_site_fract_y
_atom_site_fract_z
Ga1 Ga 0.0000 0.0000 0.0000
Ga2 Ga 0.0000 0.5000 0.2500
Hg1 Hg 0.0000 0.0000 0.5000
```

Peak list (12 most intense, 5° ≤ 2θ ≤ 70°, in order of rising 2θ)
| hkl | 2θ/deg | Rel. int. |
| --- | --- | --- |
| 0 0 2 | 19.11 | 10 |
| 1 0 1 | 23.05 | 26 |
| 1 1 0 | 29.78 | 7 |
| 1 1 2 | 35.63 | 100 |
| 1 0 3 | 35.91 | 9 |
| 0 0 4 | 38.78 | 20 |
| 2 0 0 | 42.62 | 30 |
| 2 1 1 | 49.00 | 8 |
| 2 1 3 | 56.92 | 5 |
| 2 0 4 | 58.97 | 23 |
| 2 2 0 | 61.85 | 10 |
| 1 1 6 | 68.17 | 15 |

***

4.
Theoretical X-ray diffraction stick pattern of GaHg3 for Cu Kα (λ = 1.5418 Å), from a structure optimized by DFT (PBE).
No peak broadening, texture or thermal motion is included.

Structure:
```
data_GaHg3
_chemical_formula_sum 'Ga4 Hg12'
_space_group_name_H-M_alt 'F m -3 m'
_space_group_IT_number 225
_space_group_name_Hall '-F 4 2 3'
_cell_length_a 7.3806
_cell_length_b 7.3806
_cell_length_c 7.3806
_cell_angle_alpha 90.00
_cell_angle_beta 90.00
_cell_angle_gamma 90.00
loop_
_atom_site_label
_atom_site_type_symbol
_atom_site_fract_x
_atom_site_fract_y
_atom_site_fract_z
Ga1 Ga 0.0000 0.0000 0.0000
Hg1 Hg 0.0000 0.0000 0.5000
Hg2 Hg 0.2500 0.2500 0.2500
```

Peak list (10 most intense, 5° ≤ 2θ ≤ 70°, in order of rising 2θ)
| hkl | 2θ/deg | Rel. int. |
| --- | --- | --- |
| 1 1 1 | 20.85 | 8 |
| 2 0 0 | 24.12 | 4 |
| 2 2 0 | 34.37 | 100 |
| 3 1 1 | 40.54 | 5 |
| 2 2 2 | 42.43 | 1 |
| 4 0 0 | 49.39 | 18 |
| 3 3 1 | 54.17 | 2 |
| 4 2 0 | 55.70 | 2 |
| 4 2 2 | 61.56 | 38 |
| 5 1 1 | 65.74 | 2 |

***

5.
Theoretical X-ray diffraction stick pattern of GaHg3 for Cu Kα (λ = 1.5418 Å), from a structure optimized by DFT (PBE).
No peak broadening, texture or thermal motion is included.

Structure:
```
data_GaHg3
_chemical_formula_sum 'Ga2 Hg6'
_space_group_name_H-M_alt 'I 4/m m m'
_space_group_IT_number 139
_space_group_name_Hall '-I 4 2'
_cell_length_a 4.5286
_cell_length_b 4.5286
_cell_length_c 9.9876
_cell_angle_alpha 90.00
_cell_angle_beta 90.00
_cell_angle_gamma 90.00
loop_
_atom_site_label
_atom_site_type_symbol
_atom_site_fract_x
_atom_site_fract_y
_atom_site_fract_z
Ga1 Ga 0.0000 0.0000 0.0000
Hg1 Hg 0.0000 0.0000 0.5000
Hg2 Hg 0.0000 0.5000 0.2500
```

Peak list (12 most intense, 5° ≤ 2θ ≤ 70°, in order of rising 2θ)
| hkl | 2θ/deg | Rel. int. |
| --- | --- | --- |
| 0 0 2 | 17.76 | 4 |
| 1 0 1 | 21.55 | 10 |
| 1 1 2 | 33.24 | 100 |
| 1 0 3 | 33.41 | 3 |
| 0 0 4 | 35.97 | 20 |
| 2 0 0 | 39.81 | 31 |
| 2 1 1 | 45.71 | 3 |
| 2 0 4 | 54.72 | 25 |
| 2 2 0 | 57.57 | 11 |
| 1 1 6 | 62.93 | 16 |
| 3 1 2 | 68.12 | 26 |
| 2 2 4 | 69.78 | 12 |

***

6.
Theoretical X-ray diffraction stick pattern of Ga3Hg for Cu Kα (λ = 1.5418 Å), from a structure optimized by DFT (PBE).
No peak broadening, texture or thermal motion is included.

Structure:
```
data_Ga3Hg
_chemical_formula_sum 'Ga6 Hg2'
_space_group_name_H-M_alt 'P 63/m m c'
_space_group_IT_number 194
_space_group_name_Hall '-P 6c 2c'
_cell_length_a 6.1348
_cell_length_b 6.1348
_cell_length_c 5.1411
_cell_angle_alpha 90.00
_cell_angle_beta 90.00
_cell_angle_gamma 120.00
loop_
_atom_site_label
_atom_site_type_symbol
_atom_site_fract_x
_atom_site_fract_y
_atom_site_fract_z
Ga1 Ga 0.1607 0.3214 0.2500
Hg1 Hg 0.3333 0.6667 0.7500
```

Peak list (12 most intense, 5° ≤ 2θ ≤ 70°, in order of rising 2θ)
| hkl | 2θ/deg | Rel. int. |
| --- | --- | --- |
| 1 0 0 | 16.69 | 8 |
| 1 0 1 | 24.09 | 32 |
| 1 1 0 | 29.11 | 12 |
| 2 0 0 | 33.74 | 23 |
| 0 0 2 | 34.90 | 28 |
| 2 0 1 | 38.13 | 100 |
| 1 1 2 | 46.07 | 7 |
| 2 1 1 | 48.68 | 8 |
| 2 0 2 | 49.33 | 16 |
| 2 2 0 | 60.35 | 17 |
| 2 0 3 | 64.73 | 21 |
| 3 1 1 | 65.95 | 5 |

***

7.
Theoretical X-ray diffraction stick pattern of Pm2GaHg for Cu Kα (λ = 1.5418 Å), from a structure optimized by DFT (PBE).
No peak broadening, texture or thermal motion is included.

Structure:
```
data_Pm2GaHg
_chemical_formula_sum 'Pm8 Ga4 Hg4'
_space_group_name_H-M_alt 'F m -3 m'
_space_group_IT_number 225
_space_group_name_Hall '-F 4 2 3'
_cell_length_a 7.5227
_cell_length_b 7.5227
_cell_length_c 7.5227
_cell_angle_alpha 90.00
_cell_angle_beta 90.00
_cell_angle_gamma 90.00
loop_
_atom_site_label
_atom_site_type_symbol
_atom_site_fract_x
_atom_site_fract_y
_atom_site_fract_z
Pm1 Pm 0.2500 0.2500 0.2500
Ga1 Ga 0.0000 0.0000 0.0000
Hg1 Hg 0.0000 0.0000 0.5000
```

Peak list (7 most intense, 5° ≤ 2θ ≤ 70°, in order of rising 2θ)
| hkl | 2θ/deg | Rel. int. |
| --- | --- | --- |
| 1 1 1 | 20.45 | 11 |
| 2 2 0 | 33.70 | 100 |
| 3 1 1 | 39.74 | 6 |
| 4 0 0 | 48.40 | 18 |
| 3 3 1 | 53.06 | 3 |
| 4 2 2 | 60.27 | 38 |
| 5 1 1 | 64.35 | 2 |

***

8.
Theoretical X-ray diffraction stick pattern of Ga2HgSe4 for Cu Kα (λ = 1.5418 Å), from a structure optimized by DFT (PBE).
No peak broadening, texture or thermal motion is included.

Structure:
```
data_Ga2HgSe4
_chemical_formula_sum 'Ga4 Hg2 Se8'
_space_group_name_H-M_alt 'I -4 m 2'
_space_group_IT_number 119
_space_group_name_Hall 'I -4 -2'
_cell_length_a 5.5878
_cell_length_b 5.5878
_cell_length_c 10.8770
_cell_angle_alpha 90.00
_cell_angle_beta 90.00
_cell_angle_gamma 90.00
loop_
_atom_site_label
_atom_site_type_symbol
_atom_site_fract_x
_atom_site_fract_y
_atom_site_fract_z
Ga1 Ga 0.0000 0.0000 0.0000
Ga2 Ga 0.0000 0.5000 0.2500
Hg1 Hg 0.0000 0.0000 0.5000
Se1 Se 0.0000 0.0000 0.2251
Se2 Se 0.0000 0.5000 0.0226
```

Peak list (12 most intense, 5° ≤ 2θ ≤ 70°, in order of rising 2θ)
| hkl | 2θ/deg | Rel. int. |
| --- | --- | --- |
| 0 0 2 | 16.30 | 23 |
| 1 0 1 | 17.85 | 36 |
| 1 1 0 | 22.50 | 21 |
| 1 0 3 | 29.37 | 22 |
| 2 0 0 | 32.04 | 100 |
| 0 0 4 | 32.94 | 39 |
| 2 0 2 | 36.14 | 13 |
| 2 1 1 | 36.91 | 12 |
| 2 1 3 | 44.01 | 15 |
| 2 2 0 | 45.94 | 36 |
| 2 0 4 | 46.61 | 59 |
| 2 2 4 | 57.68 | 31 |

***

9.
Theoretical X-ray diffraction stick pattern of Ga2HgSe4 for Cu Kα (λ = 1.5418 Å), from a structure optimized by DFT (PBE).
No peak broadening, texture or thermal motion is included.

Structure:
```
data_Ga2HgSe4
_chemical_formula_sum 'Ga4 Hg2 Se8'
_space_group_name_H-M_alt 'I -4'
_space_group_IT_number 82
_cell_length_a 5.8806
_cell_length_b 5.8806
_cell_length_c 11.0221
_cell_angle_alpha 90.00
_cell_angle_beta 90.00
_cell_angle_gamma 90.00
loop_
_space_group_symop_operation_xyz
'x,y,z'
'y,-x,-z'
'-x,-y,z'
'-y,x,-z'
'x+1/2,y+1/2,z+1/2'
'y+1/2,-x+1/2,-z+1/2'
'-x+1/2,-y+1/2,z+1/2'
'-y+1/2,x+1/2,-z+1/2'
loop_
_atom_site_label
_atom_site_type_symbol
_atom_site_fract_x
_atom_site_fract_y
_atom_site_fract_z
Ga1 Ga 0.0000 0.0000 0.0000
Ga2 Ga 0.0000 0.5000 0.2500
Hg1 Hg 0.0000 0.0000 0.5000
Se1 Se 0.2251 0.2372 0.8610
```

Peak list (12 most intense, 5° ≤ 2θ ≤ 70°, in order of rising 2θ)
| hkl | 2θ/deg | Rel. int. |
| --- | --- | --- |
| 1 0 1 | 17.09 | 19 |
| 1 1 0 | 21.37 | 16 |
| 1 1 2 | 26.86 | 100 |
| 1 0 3 | 28.65 | 12 |
| 2 0 2 | 34.58 | 16 |
| 1 2 1 | 35.08 | 15 |
| 1 1 4 | 39.22 | 9 |
| 2 2 0 | 43.53 | 26 |
| 2 0 4 | 45.09 | 46 |
| 3 1 2 | 51.89 | 31 |
| 1 1 6 | 54.62 | 13 |
| 4 0 0 | 63.25 | 8 |

***

10.
Theoretical X-ray diffraction stick pattern of Sr2GaHg for Cu Kα (λ = 1.5418 Å), from a structure optimized by DFT (PBE).
No peak broadening, texture or thermal motion is included.

Structure:
```
data_Sr2GaHg
_chemical_formula_sum 'Sr8 Ga4 Hg4'
_space_group_name_H-M_alt 'F m -3 m'
_space_group_IT_number 225
_space_group_name_Hall '-F 4 2 3'
_cell_length_a 7.8997
_cell_length_b 7.8997
_cell_length_c 7.8997
_cell_angle_alpha 90.00
_cell_angle_beta 90.00
_cell_angle_gamma 90.00
loop_
_atom_site_label
_atom_site_type_symbol
_atom_site_fract_x
_atom_site_fract_y
_atom_site_fract_z
Sr1 Sr 0.2500 0.2500 0.2500
Ga1 Ga 0.0000 0.0000 0.0000
Hg1 Hg 0.0000 0.0000 0.5000
```

Peak list (11 most intense, 5° ≤ 2θ ≤ 70°, in order of rising 2θ)
| hkl | 2θ/deg | Rel. int. |
| --- | --- | --- |
| 1 1 1 | 19.46 | 17 |
| 2 0 0 | 22.51 | 5 |
| 2 2 0 | 32.05 | 100 |
| 3 1 1 | 37.77 | 10 |
| 2 2 2 | 39.52 | 2 |
| 4 0 0 | 45.95 | 18 |
| 3 3 1 | 50.35 | 5 |
| 4 2 0 | 51.75 | 3 |
| 4 2 2 | 57.12 | 38 |
| 5 1 1 | 60.94 | 4 |
| 4 4 0 | 67.02 | 12 |

***

11.
Theoretical X-ray diffraction stick pattern of Ga2Hg12Te15 for Cu Kα (λ = 1.5418 Å), from a structure optimized by DFT (PBE).
No peak broadening, texture or thermal motion is included.

Structure:
```
data_Ga2Hg12Te15
_chemical_formula_sum 'Ga4 Hg24 Te30'
_space_group_name_H-M_alt 'C 1 m 1'
_space_group_IT_number 8
_cell_length_a 8.0638
_cell_length_b 13.9715
_cell_length_c 18.9869
_cell_angle_alpha 90.00
_cell_angle_beta 98.12
_cell_angle_gamma 90.00
loop_
_space_group_symop_operation_xyz
'x,y,z'
'x,-y,z'
'x+1/2,y+1/2,z'
'x+1/2,-y+1/2,z'
loop_
_atom_site_label
_atom_site_type_symbol
_atom_site_fract_x
_atom_site_fract_y
_atom_site_fract_z
Ga1 Ga 0.0000 0.1666 0.0000
Hg1 Hg 0.0941 0.0000 0.8070
Hg2 Hg 0.1068 0.3289 0.8069
Hg3 Hg 0.1996 0.5000 0.6015
Hg4 Hg 0.2011 0.1661 0.6012
Hg5 Hg 0.2968 0.3351 0.3957
Hg6 Hg 0.3020 0.0000 0.3948
Hg7 Hg 0.3706 0.5000 0.1894
Hg8 Hg 0.4093 0.1538 0.1893
Te1 Te 0.0402 0.5000 0.1212
Te2 Te 0.0475 0.1666 0.1427
Te3 Te 0.1334 0.0000 0.9608
Te4 Te 0.1637 0.3231 0.9607
Te5 Te 0.2455 0.5000 0.7547
Te6 Te 0.2547 0.1635 0.7544
Te7 Te 0.3496 0.0000 0.5480
Te8 Te 0.3498 0.3334 0.5493
Te9 Te 0.4467 0.1678 0.3424
Te10 Te 0.4492 0.5000 0.3424
```

Peak list (12 most intense, 5° ≤ 2θ ≤ 70°, in order of rising 2θ)
| hkl | 2θ/deg | Rel. int. |
| --- | --- | --- |
| 2 0 1 | 23.43 | 100 |
| 0 0 5 | 23.67 | 31 |
| 2 0 5 | 35.03 | 6 |
| 0 6 0 | 38.67 | 53 |
| 2 0 6 | 38.98 | 48 |
| 2 6 1 | 45.71 | 17 |
| 0 6 5 | 45.84 | 32 |
| 1 3 8 | 46.11 | 9 |
| 2 6 6 | 56.08 | 16 |
| 5 3 0 | 61.38 | 13 |
| 4 0 7 | 61.71 | 6 |
| 2 0 11 | 62.03 | 6 |

***

12.
Theoretical X-ray diffraction stick pattern of HoGa for Cu Kα (λ = 1.5418 Å), from a structure optimized by DFT (PBE).
No peak broadening, texture or thermal motion is included.

Structure:
```
data_HoGa
_chemical_formula_sum 'Ho4 Ga4'
_space_group_name_H-M_alt 'C m c m'
_space_group_IT_number 63
_space_group_name_Hall '-C 2c 2'
_cell_length_a 4.3234
_cell_length_b 10.8416
_cell_length_c 4.0693
_cell_angle_alpha 90.00
_cell_angle_beta 90.00
_cell_angle_gamma 90.00
loop_
_atom_site_label
_atom_site_type_symbol
_atom_site_fract_x
_atom_site_fract_y
_atom_site_fract_z
Ho1 Ho 0.0000 0.1380 0.2500
Ga1 Ga 0.0000 0.4235 0.2500
```

Peak list (12 most intense, 5° ≤ 2θ ≤ 70°, in order of rising 2θ)
| hkl | 2θ/deg | Rel. int. |
| --- | --- | --- |
| 0 2 1 | 27.41 | 28 |
| 1 1 1 | 31.29 | 100 |
| 1 3 0 | 32.29 | 41 |
| 0 4 0 | 33.05 | 28 |
| 1 3 1 | 39.32 | 53 |
| 0 4 1 | 39.97 | 15 |
| 2 0 0 | 41.79 | 25 |
| 0 0 2 | 44.53 | 21 |
| 2 4 0 | 54.28 | 14 |
| 1 3 2 | 56.06 | 17 |
| 2 0 2 | 62.71 | 15 |
| 1 7 0 | 63.84 | 14 |

***

13.
Theoretical X-ray diffraction stick pattern of Ho2Ga9Ir3 for Cu Kα (λ = 1.5418 Å), from a structure optimized by DFT (PBE).
No peak broadening, texture or thermal motion is included.

Structure:
```
data_Ho2Ga9Ir3
_chemical_formula_sum 'Ho8 Ga36 Ir12'
_space_group_name_H-M_alt 'C m c m'
_space_group_IT_number 63
_space_group_name_Hall '-C 2c 2'
_cell_length_a 13.1594
_cell_length_b 7.5996
_cell_length_c 9.5114
_cell_angle_alpha 90.00
_cell_angle_beta 90.00
_cell_angle_gamma 90.00
loop_
_atom_site_label
_atom_site_type_symbol
_atom_site_fract_x
_atom_site_fract_y
_atom_site_fract_z
Ho1 Ho 0.1646 0.1675 0.2500
Ga1 Ga 0.0000 0.1262 0.7500
Ga2 Ga 0.0000 0.3329 0.0636
Ga3 Ga 0.1039 0.4424 0.7500
Ga4 Ga 0.1673 0.1665 0.5794
Ir1 Ir 0.0000 0.0000 0.0000
Ir2 Ir 0.1716 0.5000 0.0000
```

Peak list (12 most intense, 5° ≤ 2θ ≤ 70°, in order of rising 2θ)
| hkl | 2θ/deg | Rel. int. |
| --- | --- | --- |
| 0 2 0 | 23.41 | 21 |
| 3 1 2 | 30.11 | 66 |
| 3 1 3 | 36.93 | 75 |
| 0 0 4 | 37.84 | 24 |
| 5 1 2 | 40.95 | 16 |
| 3 3 0 | 41.15 | 100 |
| 0 2 4 | 44.97 | 30 |
| 6 0 2 | 45.54 | 25 |
| 6 2 2 | 51.83 | 27 |
| 3 3 4 | 57.13 | 25 |
| 0 2 6 | 63.60 | 22 |
| 6 4 2 | 68.22 | 24 |

***

14.
Theoretical X-ray diffraction stick pattern of LiHo2Ga for Cu Kα (λ = 1.5418 Å), from a structure optimized by DFT (PBE).
No peak broadening, texture or thermal motion is included.

Structure:
```
data_LiHo2Ga
_chemical_formula_sum 'Li4 Ho8 Ga4'
_space_group_name_H-M_alt 'F m -3 m'
_space_group_IT_number 225
_space_group_name_Hall '-F 4 2 3'
_cell_length_a 7.1773
_cell_length_b 7.1773
_cell_length_c 7.1773
_cell_angle_alpha 90.00
_cell_angle_beta 90.00
_cell_angle_gamma 90.00
loop_
_atom_site_label
_atom_site_type_symbol
_atom_site_fract_x
_atom_site_fract_y
_atom_site_fract_z
Li1 Li 0.0000 0.0000 0.0000
Ho1 Ho 0.2500 0.2500 0.2500
Ga1 Ga 0.0000 0.0000 0.5000
```

Peak list (10 most intense, 5° ≤ 2θ ≤ 70°, in order of rising 2θ)
| hkl | 2θ/deg | Rel. int. |
| --- | --- | --- |
| 1 1 1 | 21.44 | 7 |
| 2 0 0 | 24.81 | 46 |
| 2 2 0 | 35.37 | 100 |
| 3 1 1 | 41.74 | 4 |
| 2 2 2 | 43.69 | 14 |
| 4 0 0 | 50.89 | 18 |
| 3 3 1 | 55.83 | 1 |
| 4 2 0 | 57.42 | 19 |
| 4 2 2 | 63.50 | 36 |
| 5 1 1 | 67.85 | 1 |